# 1
The following is a theoretical X-ray powder pattern of SnPO3. It was derived from the PBE geometry in the Materials Project, using CuKα.

Crystal structure
```
data_SnPO3
_cell_length_a 7.290
_cell_length_b 12.775
_cell_length_c 4.858
_cell_angle_alpha 90.00
_cell_angle_beta 120.27
_cell_angle_gamma 90.00
_space_group_name_H-M_alt 'C 1 c 1'
_space_group_IT_number 9
_space_group_name_Hall 'C -2yc'
loop_
_atom_site_label
_atom_site_type_symbol
_atom_site_fract_x
_atom_site_fract_y
_atom_site_fract_z
_atom_site_occupancy
Sn1 Sn 0.000 0.138 0.000 1
P1 P 0.125 0.361 0.700 1
O1 O 0.220 0.308 0.509 1
O2 O 0.296 0.419 0.004 1
O3 O 0.486 0.217 0.261 1
```

Most intense lines, 10 to 80 degrees two-theta, in order of rising 2θ:
- 2θ = 15.7°, intensity 95, hkl 1 1 0
- 2θ = 19.9°, intensity 50, hkl 1 1 -1
- 2θ = 25.2°, intensity 35, hkl 1 3 0
- 2θ = 25.4°, intensity 100, hkl 0 2 1
- 2θ = 27.9°, intensity 44, hkl 0 4 0
- 2θ = 29.1°, intensity 94, hkl 2 2 -1
- 2θ = 31.8°, intensity 39, hkl 1 1 1
- 2θ = 37.7°, intensity 42, hkl 3 1 -1
- 2θ = 47.5°, intensity 40, hkl 2 4 -2
- 2θ = 52.2°, intensity 30, hkl 4 0 -2


# 2
The following is a theoretical X-ray powder pattern of Sn2P3O10. It was derived from the PBE geometry in the Materials Project, using CuKα.

Crystal structure
```
data_Sn2P3O10
_cell_length_a 12.014
_cell_length_b 10.168
_cell_length_c 9.605
_cell_angle_alpha 90.00
_cell_angle_beta 118.74
_cell_angle_gamma 90.00
_space_group_name_H-M_alt 'C 1 2/c 1'
_space_group_IT_number 15
_space_group_name_Hall '-C 2yc'
loop_
_atom_site_label
_atom_site_type_symbol
_atom_site_fract_x
_atom_site_fract_y
_atom_site_fract_z
_atom_site_occupancy
Sn1 Sn 0.181 0.039 0.084 1
P1 P 0.000 0.397 0.750 1
P2 P 0.146 0.227 0.648 1
O1 O 0.017 0.298 0.632 1
O2 O 0.111 0.175 0.482 1
O3 O 0.118 0.478 0.848 1
O4 O 0.176 0.104 0.757 1
O5 O 0.249 0.333 0.712 1
```

Most intense lines, 10 to 80 degrees two-theta, in order of rising 2θ:
- 2θ = 12.1°, intensity 16, hkl 1 1 0
- 2θ = 16.8°, intensity 23, hkl 2 0 0
- 2θ = 17.4°, intensity 15, hkl 0 2 0
- 2θ = 20.5°, intensity 100, hkl 1 1 -2
- 2θ = 24.3°, intensity 14, hkl 2 2 0
- 2θ = 26.9°, intensity 52, hkl 3 1 0
- 2θ = 30.2°, intensity 23, hkl 4 0 -2
- 2θ = 31.1°, intensity 16, hkl 1 3 1
- 2θ = 37.6°, intensity 17, hkl 2 0 -4
- 2θ = 41.7°, intensity 17, hkl 2 2 -4


# 3
The following is a theoretical X-ray powder pattern of Sn2P2O7. It was derived from the PBE geometry in the Materials Project, using CuKα.

Crystal structure
```
data_Sn2P2O7
_cell_length_a 7.085
_cell_length_b 9.677
_cell_length_c 9.536
_cell_angle_alpha 90.00
_cell_angle_beta 99.96
_cell_angle_gamma 90.00
_space_group_name_H-M_alt 'C 1 2/c 1'
_space_group_IT_number 15
_space_group_name_Hall '-C 2yc'
loop_
_atom_site_label
_atom_site_type_symbol
_atom_site_fract_x
_atom_site_fract_y
_atom_site_fract_z
_atom_site_occupancy
Sn1 Sn 0.001 0.193 0.494 1
P1 P 0.202 0.477 0.215 1
O1 O 0.000 0.415 0.250 1
O2 O 0.157 0.018 0.642 1
O3 O 0.169 0.381 0.647 1
O4 O 0.240 0.138 0.883 1
```

Most intense lines, 10 to 80 degrees two-theta, in order of rising 2θ:
- 2θ = 18.9°, intensity 37, hkl 0 0 2
- 2θ = 26.3°, intensity 39, hkl 1 1 2
- 2θ = 26.4°, intensity 100, hkl 0 2 2
- 2θ = 29.1°, intensity 73, hkl 2 0 -2
- 2θ = 30.5°, intensity 44, hkl 1 3 0
- 2θ = 31.6°, intensity 53, hkl 2 2 0
- 2θ = 34.6°, intensity 24, hkl 2 0 2
- 2θ = 37.4°, intensity 40, hkl 1 3 2
- 2θ = 39.4°, intensity 26, hkl 2 2 2
- 2θ = 48.8°, intensity 22, hkl 1 5 0